Entry 1:
Calculated XRD peak list
Compound: KHo3B4O12
Radiation: Cu Kα
Structure: DFT lattice parameters and positions (GGA-PBE)
Lines closer than 0.1° are merged.

Atomic structure:
```
KHo3B4O12
1.0
5.144 2.970 2.973
-5.144 2.970 2.973
0.000 -5.939 2.973
K Ho B O
1 3 4 12
Direct
0.000 0.000 0.000
0.000 0.547 0.453
0.453 0.000 0.547
0.547 0.453 0.000
0.042 0.500 0.958
0.500 0.500 0.500
0.500 0.958 0.042
0.958 0.042 0.500
0.014 0.596 0.794
0.092 0.908 0.500
0.206 0.404 0.986
0.365 0.635 0.500
0.404 0.986 0.206
0.500 0.092 0.908
0.500 0.365 0.635
0.596 0.794 0.014
0.635 0.500 0.365
0.794 0.014 0.596
0.908 0.500 0.092
0.986 0.206 0.404
```

Peak list (12 most intense, 2θ = 5–70°, low angle first)
2θ (°)	I/Imax
14.05	17.7
17.24	39.1
22.31	71.4
28.32	100.0
34.87	31.0
37.78	17.4
41.80	44.0
45.51	26.9
46.71	26.0
53.44	13.8
55.52	22.3
58.60	21.2

***

Entry 2:
Calculated XRD peak list
Compound: LiHoB14
Radiation: Cu Kα
Structure: DFT lattice parameters and positions (GGA-PBE)
Lines closer than 0.1° are merged.

Atomic structure:
```
LiHoB14
1.0
-2.937 5.201 4.113
2.937 -5.201 4.113
2.937 5.201 -4.113
Li Ho B
2 2 28
Direct
0.500 0.000 0.000
0.500 0.500 0.500
0.121 0.371 0.750
0.879 0.629 0.250
0.101 0.002 0.782
0.101 0.318 0.099
0.127 0.297 0.330
0.127 0.797 0.830
0.139 0.973 0.166
0.262 0.173 0.089
0.277 0.628 0.649
0.280 0.682 0.282
0.280 0.998 0.599
0.307 0.973 0.334
0.415 0.827 0.589
0.467 0.297 0.670
0.467 0.797 0.170
0.479 0.628 0.851
0.521 0.372 0.149
0.533 0.203 0.830
0.533 0.703 0.330
0.585 0.173 0.411
0.693 0.027 0.666
0.720 0.002 0.401
0.720 0.318 0.718
0.723 0.372 0.351
0.738 0.827 0.911
0.861 0.027 0.834
0.873 0.203 0.170
0.873 0.703 0.670
0.899 0.682 0.901
0.899 0.998 0.218
```

Peak list (12 most intense, 2θ = 5–70°, low angle first)
2θ (°)	I/Imax
13.72	93.4
17.05	43.9
18.56	34.8
25.30	65.8
27.85	100.0
33.53	26.4
35.09	36.1
37.21	48.4
39.44	19.2
40.22	31.2
41.77	24.1
51.63	19.6

***

Entry 3:
Calculated XRD peak list
Compound: HoMgB14
Radiation: Cu Kα
Structure: DFT lattice parameters and positions (GGA-PBE)
Lines closer than 0.1° are merged.

Atomic structure:
```
HoMgB14
1.0
-2.966 5.315 4.121
2.966 -5.315 4.121
2.966 5.315 -4.121
Ho Mg B
2 2 28
Direct
0.392 0.142 0.250
0.608 0.858 0.750
0.000 0.000 0.500
0.000 0.500 0.000
0.012 0.876 0.136
0.031 0.206 0.329
0.031 0.702 0.825
0.087 0.671 0.416
0.197 0.531 0.667
0.223 0.502 0.402
0.223 0.821 0.721
0.240 0.876 0.364
0.245 0.329 0.916
0.364 0.531 0.833
0.377 0.206 0.675
0.377 0.702 0.171
0.400 0.179 0.902
0.400 0.498 0.221
0.600 0.502 0.779
0.600 0.821 0.098
0.623 0.298 0.829
0.623 0.794 0.325
0.636 0.469 0.167
0.755 0.671 0.084
0.760 0.124 0.636
0.777 0.179 0.279
0.777 0.498 0.598
0.803 0.469 0.333
0.913 0.329 0.584
0.969 0.298 0.175
0.969 0.794 0.671
0.988 0.124 0.864
```

Peak list (12 most intense, 2θ = 5–70°, low angle first)
2θ (°)	I/Imax
13.59	100.0
16.68	76.9
18.43	35.6
24.95	71.8
27.39	34.0
27.66	95.5
33.19	57.8
34.63	37.5
36.72	64.7
39.95	53.4
41.17	49.6
54.22	29.5

***

Entry 4:
Calculated XRD peak list
Compound: HoMgB12
Radiation: Cu Kα
Structure: DFT lattice parameters and positions (GGA-PBE)
Lines closer than 0.1° are merged.

Atomic structure:
```
HoMgB12
1.0
4.095 0.000 0.000
0.000 4.095 0.000
0.000 0.000 8.223
Ho Mg B
1 1 12
Direct
0.000 0.000 0.000
0.000 0.000 0.500
0.200 0.500 0.249
0.200 0.500 0.751
0.500 0.200 0.249
0.500 0.200 0.751
0.500 0.500 0.099
0.500 0.500 0.400
0.500 0.500 0.600
0.500 0.500 0.901
0.500 0.800 0.249
0.500 0.800 0.751
0.800 0.500 0.249
0.800 0.500 0.751
```

Peak list (12 most intense, 2θ = 5–70°, low angle first)
2θ (°)	I/Imax
10.76	85.8
21.67	44.3
24.28	55.5
30.84	100.0
32.79	26.1
38.01	44.3
39.56	15.8
45.61	21.3
49.62	16.1
49.76	31.8
51.09	15.3
68.63	18.7

***

Entry 5:
Calculated XRD peak list
Compound: HoMg2B2O6
Radiation: Cu Kα
Structure: DFT lattice parameters and positions (GGA-PBE)
Lines closer than 0.1° are merged.

Atomic structure:
```
HoMg2B2O6
1.0
4.967 0.000 0.000
-2.483 4.301 0.000
0.000 0.000 7.671
Ho Mg B O
1 2 2 6
Direct
0.000 0.000 0.000
0.333 0.667 0.288
0.667 0.333 0.712
0.333 0.667 0.815
0.667 0.333 0.185
0.054 0.666 0.818
0.334 0.388 0.818
0.388 0.054 0.182
0.612 0.946 0.818
0.666 0.612 0.182
0.946 0.334 0.182
```

Peak list (12 most intense, 2θ = 5–70°, low angle first)
2θ (°)	I/Imax
11.54	100.0
20.65	25.0
23.72	71.5
31.25	57.5
36.17	16.4
38.09	19.6
41.07	17.8
43.71	17.8
48.53	13.5
51.28	16.7
57.99	15.0
62.00	13.7

***

Entry 6:
Calculated XRD peak list
Compound: Ho3Mn2B9
Radiation: Cu Kα
Structure: DFT lattice parameters and positions (GGA-PBE)
Lines closer than 0.1° are merged.

Atomic structure:
```
Ho3Mn2B9
1.0
-1.559 3.781 6.585
1.559 -3.781 6.585
1.559 3.781 -6.585
Ho Mn B
3 2 9
Direct
0.000 0.000 0.000
0.265 0.265 0.000
0.735 0.735 0.000
0.332 0.500 0.832
0.668 0.500 0.168
0.059 0.370 0.689
0.153 0.881 0.272
0.319 0.630 0.689
0.391 0.119 0.272
0.500 0.000 0.500
0.609 0.881 0.728
0.681 0.370 0.311
0.847 0.119 0.728
0.941 0.630 0.311
```

Peak list (12 most intense, 2θ = 5–70°, low angle first)
2θ (°)	I/Imax
23.50	76.5
27.08	70.4
27.20	22.5
31.02	100.0
36.18	55.0
41.30	23.6
41.64	93.3
42.87	31.5
46.32	20.8
48.45	16.2
62.69	18.4
65.27	18.1

***

Entry 7:
Calculated XRD peak list
Compound: HoB3Mo
Radiation: Cu Kα
Structure: DFT lattice parameters and positions (GGA-PBE)
Lines closer than 0.1° are merged.

Atomic structure:
```
HoB3Mo
1.0
5.438 0.000 0.000
0.000 3.164 0.000
-1.404 0.000 6.683
Ho B Mo
2 6 2
Direct
0.176 0.250 0.210
0.824 0.750 0.790
0.083 0.750 0.493
0.413 0.750 0.496
0.420 0.750 0.976
0.580 0.250 0.024
0.587 0.250 0.504
0.917 0.250 0.507
0.311 0.250 0.720
0.689 0.750 0.280
```

Peak list (12 most intense, 2θ = 5–70°, low angle first)
2θ (°)	I/Imax
19.06	16.6
26.68	73.4
32.94	100.0
33.63	53.1
34.50	16.9
36.97	24.2
38.68	26.3
38.92	27.3
39.21	17.4
40.51	75.3
45.14	33.5
58.80	23.2

***

Entry 8:
Calculated XRD peak list
Compound: HoB3N3
Radiation: Cu Kα
Structure: DFT lattice parameters and positions (GGA-PBE)
Lines closer than 0.1° are merged.

Atomic structure:
```
HoB3N3
1.0
4.792 0.000 0.000
0.000 4.792 0.000
0.000 0.000 4.792
Ho B N
2 6 6
Direct
0.000 0.000 0.000
0.500 0.500 0.500
0.000 0.250 0.500
0.000 0.750 0.500
0.250 0.500 0.000
0.500 0.000 0.250
0.500 0.000 0.750
0.750 0.500 0.000
0.000 0.500 0.250
0.000 0.500 0.750
0.250 0.000 0.500
0.500 0.250 0.000
0.500 0.750 0.000
0.750 0.000 0.500
```

Peak list (6 most intense, 2θ = 5–70°, low angle first)
2θ (°)	I/Imax
26.30	100.0
37.54	34.7
46.42	74.6
54.13	15.1
61.16	21.2
67.74	3.2